For CeAl2Ag3, a cell relaxed with GGA-PBE gives the simulated powder XRD pattern in this record (CuKα).

```
12
Lattice="5.479 0.000 0.000 0.000 9.612 0.000 0.000 0.000 4.570" Properties=species:S:1:pos:R:3 pbc="T T T"
Ce 0.000 0.000 0.000
Ce 2.739 4.806 0.000
Al 1.370 2.403 2.285
Al 1.370 7.209 2.285
Al 4.109 2.403 2.285
Al 4.109 7.209 2.285
Ag 0.000 3.115 0.000
Ag 0.000 4.806 2.285
Ag 0.000 6.497 0.000
Ag 2.739 0.000 2.285
Ag 2.739 1.691 0.000
Ag 2.739 7.921 0.000
```

Principal peaks in the range 2θ from 10° to 80°, low angle first:
- 2θ 19.42, I 24, (0 0 1)
- 2θ 27.05, I 25, (1 1 1)
- 2θ 32.37, I 21, (1 3 0)
- 2θ 32.69, I 30, (2 0 0)
- 2θ 38.03, I 100, (1 3 1)
- 2θ 38.31, I 20, (2 0 1)
- 2θ 39.43, I 28, (0 0 2)
- 2θ 52.12, I 16, (2 0 2)
- 2θ 61.91, I 23, (3 3 1)
- 2θ 70.58, I 15, (1 3 3)